[1]
This entry pairs a crystal structure of BaCaTbSnO6 with its theoretical X-ray diffraction stick pattern. Radiation: λ = 1.5418 Å (Cu Kα). Structure: a GGA-PBE-relaxed structure.
No peak broadening, texture or thermal motion is included.

Most intense lines, 2θ = 15–90°, in order of rising 2θ:
hkl, two_theta, d [Å], I (rel.)
2 0 2, 29.77, 3.001, 100
2 2 0, 29.92, 2.986, 53
0 0 4, 42.38, 2.133, 15
0 4 0, 42.68, 2.118, 14
4 0 0, 42.97, 2.105, 14
2 2 4, 52.75, 1.735, 24
2 4 2, 52.93, 1.730, 23
4 2 2, 53.12, 1.724, 23
2 0 6, 69.80, 1.347, 9
6 2 4, 86.01, 1.130, 12

Structural model:
a = 8.4191 Å, b = 8.4737 Å, c = 8.5305 Å
α = 90.00°, β = 90.00°, γ = 90.00°
Space group Pnnn (No. 48, origin choice 2)
Inequivalent atoms, fractional coordinates:
Ba: 0.2500 0.2500 0.2500 (multiplicity 2)
Ba: 0.2500 0.7500 0.7500 (multiplicity 2)
Ca: 0.2500 0.2500 0.7500 (multiplicity 2)
Ca: 0.2500 0.7500 0.2500 (multiplicity 2)
Tb: 0.0000 0.0000 0.0000 (multiplicity 4)
Sn: 0.0000 0.0000 0.5000 (multiplicity 4)
O: 0.0314 0.0322 0.2591 (multiplicity 8)
O: 0.0559 0.7397 0.0368 (multiplicity 8)
O: 0.2398 0.0519 0.5468 (multiplicity 8)

[2]
This entry pairs a crystal structure of BaCaTbSnO6 with its theoretical X-ray diffraction stick pattern. Radiation: λ = 1.5418 Å (Cu Kα). Structure: a GGA-PBE-relaxed structure.
No peak broadening, texture or thermal motion is included.

Most intense lines, 2θ = 15–90°, in order of rising 2θ:
hkl, two_theta, d [Å], I (rel.)
1 1 0, 20.97, 4.236, 33
1 1 2, 29.65, 3.013, 92
-1 1 2, 29.84, 2.995, 100
2 0 0, 29.99, 2.980, 90
0 0 4, 42.69, 2.118, 77
0 2 4, 52.66, 1.738, 21
1 3 -2, 52.78, 1.734, 18
2 0 4, 52.93, 1.730, 22
3 1 2, 53.05, 1.726, 22
-3 1 2, 53.31, 1.718, 33

Structural model:
a = 5.9527 Å, b = 6.0335 Å, c = 8.4687 Å
α = 89.70°, β = 89.61°, γ = 89.95°
Space group P-1 (No. 2)
Inequivalent atoms, fractional coordinates:
Ba: 0.0059 0.0320 0.2495 (multiplicity 2)
Ca: 0.4901 0.5395 0.2459 (multiplicity 2)
Tb: 0.0000 0.5000 0.0000 (multiplicity 1)
Tb: 0.5000 0.0000 0.5000 (multiplicity 1)
Sn: 0.0000 0.5000 0.5000 (multiplicity 1)
Sn: 0.5000 0.0000 0.0000 (multiplicity 1)
O: 0.1083 0.5025 0.7382 (multiplicity 2)
O: 0.2046 0.7734 0.4634 (multiplicity 2)
O: 0.2228 0.7945 0.0294 (multiplicity 2)
O: 0.2822 0.3036 0.4391 (multiplicity 2)
O: 0.3086 0.2864 0.0572 (multiplicity 2)
O: 0.4361 0.0639 0.7605 (multiplicity 2)

[3]
This entry pairs a crystal structure of Ba2Ca3Tl2Sn4O12 with its theoretical X-ray diffraction stick pattern. Radiation: λ = 1.5418 Å (Cu Kα). Structure: a GGA-PBE-relaxed structure.
No peak broadening, texture or thermal motion is included.

Most intense lines, 2θ = 15–90°, in order of rising 2θ:
hkl, two_theta, d [Å], I (rel.)
1 0 1, 21.24, 4.182, 19
1 0 9, 27.30, 3.267, 92
1 0 11, 29.89, 2.989, 100
1 1 0, 30.10, 2.969, 100
1 0 15, 35.85, 2.505, 20
2 0 0, 43.08, 2.100, 55
1 1 20, 49.59, 1.838, 32
2 1 9, 51.76, 1.766, 34
2 1 11, 53.32, 1.718, 40
3 1 0, 70.98, 1.328, 18

Structural model:
a = 4.1992 Å, b = 4.1992 Å, c = 46.8096 Å
α = 90.00°, β = 90.00°, γ = 90.00°
Space group I4/mmm (No. 139)
Inequivalent atoms, fractional coordinates:
Ba: 0.0000 0.0000 0.1724 (multiplicity 4)
Ca: 0.0000 0.0000 0.0000 (multiplicity 2)
Ca: 0.0000 0.0000 0.0782 (multiplicity 4)
Tl: 0.0000 0.0000 0.2725 (multiplicity 4)
Sn: 0.0000 0.0000 0.3848 (multiplicity 4)
Sn: 0.0000 0.0000 0.4681 (multiplicity 4)
O: 0.0000 0.0000 0.2227 (multiplicity 4)
O: 0.0000 0.0000 0.3422 (multiplicity 4)
O: 0.0000 0.5000 0.0359 (multiplicity 8)
O: 0.0000 0.5000 0.1029 (multiplicity 8)

[4]
This entry pairs a crystal structure of Ba3CaTa2O9 with its theoretical X-ray diffraction stick pattern. Radiation: λ = 1.5418 Å (Cu Kα). Structure: a GGA-PBE-relaxed structure.
No peak broadening, texture or thermal motion is included.

Most intense lines, 2θ = 15–90°, in order of rising 2θ:
hkl, two_theta, d [Å], I (rel.)
0 1 2, 29.77, 3.001, 100
1 1 0, 29.92, 2.987, 96
2 0 2, 42.71, 2.117, 57
1 0 4, 52.75, 1.735, 21
3 0 0, 53.05, 1.726, 60
0 2 4, 61.84, 1.500, 18
2 2 0, 62.16, 1.493, 18
2 1 4, 70.20, 1.341, 18
3 1 2, 70.43, 1.337, 18
2 3 2, 86.11, 1.129, 21

Structural model:
a = 5.9733 Å, b = 5.9733 Å, c = 7.3680 Å
α = 90.00°, β = 90.00°, γ = 120.00°
Space group P-3m1 (No. 164)
Inequivalent atoms, fractional coordinates:
Ba: 0.0000 0.0000 0.0000 (multiplicity 1)
Ba: 0.3333 0.6667 0.6677 (multiplicity 2)
Ca: 0.0000 0.0000 0.5000 (multiplicity 1)
Ta: 0.3333 0.6667 0.1683 (multiplicity 2)
O: 0.0000 0.5000 0.0000 (multiplicity 3)
O: 0.1772 0.3545 0.3132 (multiplicity 6)

[5]
This entry pairs a crystal structure of BaCaTbTiO6 with its theoretical X-ray diffraction stick pattern. Radiation: λ = 1.5418 Å (Cu Kα). Structure: a GGA-PBE-relaxed structure.
No peak broadening, texture or thermal motion is included.

Most intense lines, 2θ = 15–90°, in order of rising 2θ:
hkl, two_theta, d [Å], I (rel.)
1 1 1, 18.32, 4.844, 31
2 2 0, 30.13, 2.966, 100
3 1 1, 35.49, 2.530, 22
4 0 0, 43.13, 2.097, 34
3 3 1, 47.22, 1.925, 12
4 2 2, 53.51, 1.713, 39
3 3 3, 57.04, 1.615, 7
4 4 0, 62.64, 1.483, 20
6 2 0, 71.06, 1.327, 17
6 4 2, 86.89, 1.121, 21

Structural model:
a = 8.3896 Å, b = 8.3896 Å, c = 8.3896 Å
α = 90.00°, β = 90.00°, γ = 90.00°
Space group F-43m (No. 216)
Inequivalent atoms, fractional coordinates:
Ba: 0.0000 0.0000 0.0000 (multiplicity 4)
Ca: 0.0000 0.0000 0.5000 (multiplicity 4)
Tb: 0.2500 0.2500 0.7500 (multiplicity 4)
Ti: 0.2500 0.2500 0.2500 (multiplicity 4)
O: 0.0159 0.2500 0.2500 (multiplicity 24)

[6]
This entry pairs a crystal structure of BaCaTi4O8 with its theoretical X-ray diffraction stick pattern. Radiation: λ = 1.5418 Å (Cu Kα). Structure: a GGA-PBE-relaxed structure.
No peak broadening, texture or thermal motion is included.

Most intense lines, 2θ = 15–90°, in order of rising 2θ:
hkl, two_theta, d [Å], I (rel.)
1 0 1, 21.69, 4.097, 13
1 0 2, 29.46, 3.032, 100
1 1 0, 32.21, 2.779, 75
2 -1 1, 34.25, 2.618, 31
2 0 2, 44.21, 2.049, 32
2 1 2, 55.75, 1.649, 31
3 0 0, 57.44, 1.604, 25
2 -1 4, 57.72, 1.597, 32
4 -1 2, 75.23, 1.263, 12
3 0 4, 76.93, 1.239, 14

Structural model:
a = 5.5576 Å, b = 5.5576 Å, c = 7.8076 Å
α = 90.00°, β = 90.00°, γ = 120.00°
Space group P-31m (No. 162)
Inequivalent atoms, fractional coordinates:
Ba: 0.0000 0.0000 0.0000 (multiplicity 1)
Ca: 0.0000 0.0000 0.5000 (multiplicity 1)
Ti: 0.3333 0.6667 0.2406 (multiplicity 4)
O: 0.0000 0.3311 0.3058 (multiplicity 6)
O: 0.3333 0.6667 0.0000 (multiplicity 2)

[7]
This entry pairs a crystal structure of Ba3CaTi3O8 with its theoretical X-ray diffraction stick pattern. Radiation: λ = 1.5418 Å (Cu Kα). Structure: a GGA-PBE-relaxed structure.
No peak broadening, texture or thermal motion is included.

Most intense lines, 2θ = 15–90°, in order of rising 2θ:
hkl, two_theta, d [Å], I (rel.)
1 1 -1, 19.20, 4.622, 15
1 1 -2, 25.63, 3.476, 18
1 1 2, 30.11, 2.968, 62
3 1 -1, 30.54, 2.927, 100
2 0 -3, 31.95, 2.801, 29
2 2 1, 39.23, 2.297, 17
2 2 -3, 44.83, 2.022, 39
1 3 2, 54.11, 1.695, 17
3 3 -1, 54.32, 1.689, 16
5 1 -4, 56.28, 1.635, 15

Structural model:
a = 10.1960 Å, b = 5.8429 Å, c = 8.7143 Å
α = 90.00°, β = 107.97°, γ = 90.00°
Space group Cm (No. 8)
Inequivalent atoms, fractional coordinates:
Ba: 0.0000 0.0000 0.0000 (multiplicity 2)
Ba: 0.0982 0.5000 0.7283 (multiplicity 2)
Ba: 0.3987 0.0000 0.2387 (multiplicity 2)
Ca: 0.1684 0.0000 0.4589 (multiplicity 2)
Ti: 0.1829 0.5000 0.1304 (multiplicity 2)
Ti: 0.2904 0.0000 0.8448 (multiplicity 2)
Ti: 0.3938 0.5000 0.5905 (multiplicity 2)
O: 0.0819 0.0000 0.6948 (multiplicity 2)
O: 0.1535 0.2589 0.2550 (multiplicity 4)
O: 0.2544 0.2525 0.9797 (multiplicity 4)
O: 0.3233 0.2430 0.6654 (multiplicity 4)
O: 0.4967 0.0000 0.9714 (multiplicity 2)

[8]
This entry pairs a crystal structure of BaCaTi4O12 with its theoretical X-ray diffraction stick pattern. Radiation: λ = 1.5418 Å (Cu Kα). Structure: a GGA-PBE-relaxed structure.
No peak broadening, texture or thermal motion is included.

Most intense lines, 2θ = 15–90°, in order of rising 2θ:
hkl, two_theta, d [Å], I (rel.)
1 0 0, 15.98, 5.547, 14
1 0 1, 19.61, 4.526, 81
1 1 0, 22.68, 3.920, 12
2 0 0, 32.30, 2.772, 100
2 1 1, 38.07, 2.364, 43
2 0 2, 39.83, 2.263, 13
2 2 0, 46.32, 1.960, 59
2 1 3, 50.76, 1.799, 18
2 0 4, 57.60, 1.600, 37
4 0 0, 67.59, 1.386, 32

Structural model:
a = 5.5472 Å, b = 5.5472 Å, c = 7.8299 Å
α = 90.00°, β = 90.00°, γ = 90.00°
Space group P4/mmm (No. 123)
Inequivalent atoms, fractional coordinates:
Ba: 0.0000 0.0000 0.0000 (multiplicity 1)
Ca: 0.5000 0.5000 0.5000 (multiplicity 1)
Ti: 0.0000 0.5000 0.2530 (multiplicity 4)
O: 0.0000 0.5000 0.0000 (multiplicity 2)
O: 0.0000 0.5000 0.5000 (multiplicity 2)
O: 0.2546 0.2546 0.2579 (multiplicity 8)

[9]
This entry pairs a crystal structure of Ba3CaTi3O8 with its theoretical X-ray diffraction stick pattern. Radiation: λ = 1.5418 Å (Cu Kα). Structure: a GGA-PBE-relaxed structure.
No peak broadening, texture or thermal motion is included.

Most intense lines, 2θ = 15–90°, in order of rising 2θ:
hkl, two_theta, d [Å], I (rel.)
0 1 1, 20.71, 4.288, 23
1 1 -1, 21.62, 4.111, 24
1 0 2, 29.27, 3.051, 29
1 1 2, 29.45, 3.033, 46
1 0 -2, 30.12, 2.967, 100
2 1 0, 30.61, 2.921, 25
1 -1 1, 31.73, 2.820, 24
0 2 2, 42.14, 2.144, 42
2 2 -2, 44.06, 2.055, 25
3 3 0, 54.49, 1.684, 18

Structural model:
a = 5.8474 Å, b = 5.9397 Å, c = 7.4152 Å
α = 88.81°, β = 87.96°, γ = 61.91°
Space group P1 (No. 1)
Inequivalent atoms, fractional coordinates:
Ba: 0.0000 0.0000 0.0000 (multiplicity 1)
Ba: 0.1605 0.4811 0.5342 (multiplicity 1)
Ba: 0.5805 0.7403 0.2666 (multiplicity 1)
Ca: 0.5804 0.2407 0.7671 (multiplicity 1)
Ti: 0.2572 0.3769 0.0908 (multiplicity 1)
Ti: 0.5791 0.7413 0.7663 (multiplicity 1)
Ti: 0.9035 0.1043 0.4432 (multiplicity 1)
O: 0.0803 0.2405 0.2671 (multiplicity 1)
O: 0.2156 0.9250 0.5939 (multiplicity 1)
O: 0.4235 0.5723 0.9439 (multiplicity 1)
O: 0.4288 0.0473 0.9498 (multiplicity 1)
O: 0.5798 0.2410 0.2669 (multiplicity 1)
O: 0.7321 0.4338 0.5842 (multiplicity 1)
O: 0.7373 0.9091 0.5900 (multiplicity 1)
O: 0.9462 0.5557 0.9405 (multiplicity 1)

[10]
This entry pairs a crystal structure of Ba2Ca3Ti4Tl2O12 with its theoretical X-ray diffraction stick pattern. Radiation: λ = 1.5418 Å (Cu Kα). Structure: a GGA-PBE-relaxed structure.
No peak broadening, texture or thermal motion is included.

Most intense lines, 2θ = 15–90°, in order of rising 2θ:
hkl, two_theta, d [Å], I (rel.)
1 0 7, 26.43, 3.372, 21
1 0 9, 28.66, 3.114, 100
1 0 11, 31.25, 2.863, 97
1 1 0, 32.21, 2.779, 72
1 1 2, 32.45, 2.759, 35
2 0 0, 46.20, 1.965, 42
1 1 18, 48.42, 1.880, 20
1 1 20, 51.61, 1.771, 30
2 1 9, 55.28, 1.662, 33
2 1 11, 56.82, 1.620, 41

Structural model:
a = 3.9300 Å, b = 3.9300 Å, c = 45.9563 Å
α = 90.00°, β = 90.00°, γ = 90.00°
Space group I4/mmm (No. 139)
Inequivalent atoms, fractional coordinates:
Ba: 0.0000 0.0000 0.1726 (multiplicity 4)
Ca: 0.0000 0.0000 0.0000 (multiplicity 2)
Ca: 0.0000 0.0000 0.0747 (multiplicity 4)
Ti: 0.0000 0.0000 0.3855 (multiplicity 4)
Ti: 0.0000 0.0000 0.4687 (multiplicity 4)
Tl: 0.0000 0.0000 0.2753 (multiplicity 4)
O: 0.0000 0.0000 0.2251 (multiplicity 4)
O: 0.0000 0.0000 0.3469 (multiplicity 4)
O: 0.0000 0.5000 0.0353 (multiplicity 8)
O: 0.0000 0.5000 0.1049 (multiplicity 8)